Structure and theoretical XRD peak list of Pa3H4PbO12 (DFT lattice parameters and positions (PBE); λ = 1.5418 Å (Cu Kα)).

Atomic structure:
a = 6.450 Å, b = 6.450 Å, c = 6.450 Å
α = 102.56°, β = 102.56°, γ = 102.56°
Fractional coordinates of all 20 atoms:
Pa (0.000, 0.540, 0.460)
Pa (0.460, 0.000, 0.540)
Pa (0.540, 0.460, 0.000)
H (0.090, 0.500, 0.910)
H (0.500, 0.500, 0.500)
H (0.500, 0.910, 0.090)
H (0.910, 0.090, 0.500)
Pb (0.000, 0.000, 0.000)
O (0.030, 0.637, 0.815)
O (0.116, 0.884, 0.500)
O (0.185, 0.363, 0.970)
O (0.361, 0.639, 0.500)
O (0.363, 0.970, 0.185)
O (0.500, 0.116, 0.884)
O (0.500, 0.361, 0.639)
O (0.637, 0.815, 0.030)
O (0.639, 0.500, 0.361)
O (0.815, 0.030, 0.637)
O (0.884, 0.500, 0.116)
O (0.970, 0.185, 0.363)

Main lines, in order of rising 2θ (2θ from 15° to 90°):
| 2θ (°) | intensity |
| --- | --- |
| 17.62 | 16.1 |
| 22.99 | 100.0 |
| 29.12 | 11.0 |
| 29.54 | 66.0 |
| 31.97 | 10.8 |
| 35.68 | 22.8 |
| 42.87 | 16.5 |
| 43.18 | 15.6 |
| 48.11 | 17.3 |
| 48.65 | 28.3 |

***

Structure and theoretical XRD peak list of RbPa3H4O12 (DFT lattice parameters and positions (PBE); λ = 1.5418 Å (Cu Kα)).

Atomic structure:
a = 6.721 Å, b = 6.721 Å, c = 6.721 Å
α = 102.27°, β = 102.27°, γ = 102.27°
Fractional coordinates of all 20 atoms:
Rb (0.000, 0.000, 0.000)
Pa (0.000, 0.548, 0.452)
Pa (0.452, 0.000, 0.548)
Pa (0.548, 0.452, 0.000)
H (0.123, 0.500, 0.877)
H (0.500, 0.500, 0.500)
H (0.500, 0.877, 0.123)
H (0.877, 0.123, 0.500)
O (0.022, 0.583, 0.766)
O (0.117, 0.883, 0.500)
O (0.234, 0.417, 0.978)
O (0.364, 0.636, 0.500)
O (0.417, 0.978, 0.234)
O (0.500, 0.117, 0.883)
O (0.500, 0.364, 0.636)
O (0.583, 0.766, 0.022)
O (0.636, 0.500, 0.364)
O (0.766, 0.022, 0.583)
O (0.883, 0.500, 0.117)
O (0.978, 0.234, 0.417)

Main lines, in order of rising 2θ (2θ from 15° to 90°):
| 2θ (°) | intensity |
| --- | --- |
| 16.94 | 40.8 |
| 22.05 | 100.0 |
| 27.94 | 19.3 |
| 28.22 | 69.2 |
| 34.27 | 17.7 |
| 37.19 | 19.9 |
| 41.33 | 31.9 |
| 45.73 | 16.4 |
| 46.44 | 23.1 |
| 73.96 | 13.9 |

***

Structure and theoretical XRD peak list of PaHS2O8 (DFT lattice parameters and positions (PBE); λ = 1.5418 Å (Cu Kα)).

Atomic structure:
a = 6.073 Å, b = 6.073 Å, c = 4.537 Å
α = 90.00°, β = 90.00°, γ = 120.00°
Fractional coordinates of all 12 atoms:
Pa (0.000, 0.000, 0.000)
H (0.000, 0.000, 0.500)
S (0.333, 0.667, 0.077)
S (0.667, 0.333, 0.923)
O (0.200, 0.400, 0.202)
O (0.200, 0.800, 0.202)
O (0.333, 0.667, 0.761)
O (0.400, 0.200, 0.798)
O (0.600, 0.800, 0.202)
O (0.667, 0.333, 0.239)
O (0.800, 0.200, 0.798)
O (0.800, 0.600, 0.798)

Main lines, in order of rising 2θ (2θ from 15° to 90°):
| 2θ (°) | intensity |
| --- | --- |
| 16.86 | 97.7 |
| 19.57 | 91.0 |
| 25.93 | 100.0 |
| 29.41 | 92.9 |
| 35.57 | 92.2 |
| 39.61 | 33.6 |
| 43.44 | 39.0 |
| 45.63 | 31.6 |
| 50.10 | 40.8 |
| 50.20 | 28.1 |

***

Structure and theoretical XRD peak list of H2PdPb2O4 (DFT lattice parameters and positions (PBE); λ = 1.5418 Å (Cu Kα)).

Atomic structure:
a = 5.798 Å, b = 6.354 Å, c = 8.137 Å
α = 89.19°, β = 86.35°, γ = 66.79°
Fractional coordinates of all 18 atoms:
H (0.072, 0.226, 0.261)
H (0.390, 0.876, 0.282)
H (0.610, 0.124, 0.718)
H (0.928, 0.774, 0.739)
Pd (0.000, 0.500, 0.500)
Pd (0.500, 0.000, 0.000)
Pb (0.176, 0.640, 0.104)
Pb (0.380, 0.772, 0.630)
Pb (0.620, 0.228, 0.370)
Pb (0.824, 0.360, 0.896)
O (0.075, 0.626, 0.711)
O (0.282, 0.967, 0.198)
O (0.289, 0.569, 0.385)
O (0.475, 0.710, 0.912)
O (0.525, 0.290, 0.088)
O (0.711, 0.431, 0.615)
O (0.718, 0.033, 0.802)
O (0.925, 0.374, 0.289)

Main lines, in order of rising 2θ (2θ from 15° to 90°):
| 2θ (°) | intensity |
| --- | --- |
| 20.26 | 22.6 |
| 21.19 | 28.1 |
| 26.59 | 44.6 |
| 26.76 | 100.0 |
| 26.90 | 25.6 |
| 28.49 | 30.3 |
| 30.33 | 50.3 |
| 32.26 | 21.0 |
| 33.60 | 32.5 |
| 36.90 | 20.2 |